[1]
For Re8Ir, the GGA-PBE geometry in Alexandria gives the theoretical PXRD pattern in this record (Cu Kα X-rays).
Peak positions follow from Bragg's law for the DFT cell and can differ from measured ones.

Most intense lines, 2θ = 10–90°, in order of rising 2θ:
index	2θ/deg	I_rel
3 0 1	39.9	100.0
3 3 0	46.4	32.8
0 0 2	46.6	16.2
6 0 0	67.7	10.7
3 3 2	67.9	21.3
6 3 1	81.6	26.0
3 0 3	81.9	12.9
6 0 2	86.2	11.5

a = 8.308 Å, b = 8.308 Å, c = 3.896 Å
α = 90.00°, β = 90.00°, γ = 90.00°
Space group I4/mmm (No. 139)
Asymmetric unit:
1 Re 0.000 0.331 0.000
2 Re 0.166 0.166 0.500
3 Ir 0.000 0.000 0.000


[2]
For TiAs2, the GGA-PBE geometry in Alexandria gives the theoretical PXRD pattern in this record (Cu Kα X-rays).
Peak positions follow from Bragg's law for the DFT cell and can differ from measured ones.

Most intense lines, 2θ = 10–90°, in order of rising 2θ:
index	2θ/deg	I_rel
3 1 0	30.7	25.8
0 3 1	32.6	22.4
2 1 1	33.1	73.2
2 2 1	35.2	45.3
3 3 0	36.3	36.4
1 4 1	38.7	61.0
3 2 1	42.0	100.0
0 5 1	42.7	57.1
2 6 0	45.7	33.5
0 0 2	52.2	40.2

a = 8.964 Å, b = 13.295 Å, c = 3.506 Å
α = 90.00°, β = 90.00°, γ = 90.00°
Space group Pnnm (No. 58)
Asymmetric unit:
1 Ti 0.018 0.247 0.000
2 Ti 0.172 0.993 0.000
3 As 0.011 0.100 0.500
4 As 0.114 0.442 0.000
5 As 0.165 0.661 0.500
6 As 0.226 0.302 0.500


[3]
For K3Ag2I4Br2, the GGA-PBE geometry in Alexandria gives the theoretical PXRD pattern in this record (Cu Kα X-rays).
Peak positions follow from Bragg's law for the DFT cell and can differ from measured ones.

Most intense lines, 2θ = 10–90°, in order of rising 2θ:
index	2θ/deg	I_rel
0 0 4	12.5	57.2
1 0 3	18.4	26.5
0 0 6	18.8	46.6
1 1 2	23.3	54.0
1 1 6	29.4	59.6
2 0 0	32.0	100.0
2 0 6	37.3	32.9
1 1 12	44.6	35.5
2 0 10	45.5	34.9
2 2 0	45.8	35.5

a = 5.599 Å, b = 5.599 Å, c = 28.374 Å
α = 90.00°, β = 90.00°, γ = 90.00°
Space group I4/mmm (No. 139)
Asymmetric unit:
1 K 0.000 0.000 0.000
2 K 0.000 0.000 0.184
3 Ag 0.000 0.000 0.393
4 I 0.000 0.500 0.083
5 Br 0.000 0.000 0.297


[4]
For CeMgN2, the GGA-PBE geometry in Alexandria gives the theoretical PXRD pattern in this record (Cu Kα X-rays).
Peak positions follow from Bragg's law for the DFT cell and can differ from measured ones.

Most intense lines, 2θ = 10–90°, in order of rising 2θ:
index	2θ/deg	I_rel
1 1 0	22.2	90.7
0 1 1	30.5	41.7
1 0 1	30.8	100.0
2 0 0	32.3	32.0
1 2 1	44.2	73.0
2 1 1	45.0	28.5
2 2 0	45.3	33.5
3 0 1	56.6	19.2
3 2 1	65.9	14.6
2 2 2	72.9	15.5

a = 5.548 Å, b = 5.792 Å, c = 3.405 Å
α = 90.00°, β = 90.00°, γ = 90.00°
Space group Pnnm (No. 58)
Asymmetric unit:
1 Ce 0.000 0.000 0.000
2 Mg 0.000 0.500 0.000
3 N 0.164 0.252 0.500


[5]
For KZrCu2S4, the GGA-PBE geometry in Alexandria gives the theoretical PXRD pattern in this record (Cu Kα X-rays).
Peak positions follow from Bragg's law for the DFT cell and can differ from measured ones.

Most intense lines, 2θ = 10–90°, in order of rising 2θ:
index	2θ/deg	I_rel
0 1 1	15.7	100.0
0 2 0	23.5	23.0
1 1 2	28.2	73.2
2 1 1	33.1	15.4
2 2 0	37.7	53.2
1 2 3	42.6	21.9
1 3 2	44.3	16.9
1 1 4	46.9	30.8
2 3 1	47.8	15.7
1 3 4	58.9	14.3

a = 6.166 Å, b = 7.558 Å, c = 8.470 Å
α = 90.00°, β = 90.00°, γ = 90.00°
Space group I222 (No. 23)
Asymmetric unit:
1 K 0.000 0.000 0.000
2 Zr 0.000 0.000 0.500
3 Cu 0.000 0.500 0.147
4 S 0.229 0.185 0.334


[6]
For CdHgTe2, the GGA-PBE geometry in Alexandria gives the theoretical PXRD pattern in this record (Cu Kα X-rays).
Peak positions follow from Bragg's law for the DFT cell and can differ from measured ones.

Most intense lines, 2θ = 10–90°, in order of rising 2θ:
index	2θ/deg	I_rel
0 2 -1	21.9	100.0
0 0 2	23.1	58.7
1 1 -2	24.8	70.9
0 2 -3	32.1	38.7
2 0 -1	38.5	94.2
1 1 2	41.7	49.6
1 1 -4	41.7	48.5
1 3 0	45.4	59.1
-2 2 3	58.0	24.8
1 1 -6	64.8	25.5

a = 4.684 Å, b = 8.103 Å, c = 8.995 Å
α = 116.68°, β = 105.06°, γ = 90.04°
Space group P1 (No. 1)
Asymmetric unit:
1 Cd 0.000 0.000 0.000
2 Cd 0.253 0.585 0.502
3 Hg 0.500 0.501 0.002
4 Hg 0.753 0.085 0.500
5 Te 0.190 0.189 0.374
6 Te 0.438 0.772 0.875
7 Te 0.691 0.688 0.377
8 Te 0.937 0.271 0.875


[7]
For Cs2Tl4Pd3, the GGA-PBE geometry in Alexandria gives the theoretical PXRD pattern in this record (Cu Kα X-rays).
Peak positions follow from Bragg's law for the DFT cell and can differ from measured ones.

Most intense lines, 2θ = 10–90°, in order of rising 2θ:
index	2θ/deg	I_rel
0 0 2	13.6	23.1
0 4 0	27.2	14.4
1 2 3	28.1	100.0
1 1 4	31.4	11.7
2 3 1	34.8	12.8
2 4 0	38.7	21.1
0 0 6	41.6	11.4
1 6 3	48.6	15.4
2 0 6	50.3	14.0
0 4 6	50.4	16.4

a = 6.601 Å, b = 13.132 Å, c = 13.021 Å
α = 90.00°, β = 90.00°, γ = 90.00°
Space group Ibam (No. 72)
Asymmetric unit:
1 Cs 0.193 0.137 0.000
2 Tl 0.183 0.393 0.158
3 Pd 0.000 0.000 0.250
4 Pd 0.000 0.222 0.250


[8]
For Th6Si2GeS3, the GGA-PBE geometry in Alexandria gives the theoretical PXRD pattern in this record (Cu Kα X-rays).
Peak positions follow from Bragg's law for the DFT cell and can differ from measured ones.

Most intense lines, 2θ = 10–90°, in order of rising 2θ:
index	2θ/deg	I_rel
3 1 0	26.0	71.1
4 0 -2	26.7	22.2
6 0 0	30.3	100.0
0 2 0	42.9	39.0
7 1 -2	43.8	36.6
2 2 2	50.8	12.3
9 1 0	51.2	16.0
6 2 0	53.5	13.8
12 0 0	63.0	12.6
11 1 2	70.8	15.1

a = 18.058 Å, b = 4.211 Å, c = 8.274 Å
α = 90.00°, β = 101.46°, γ = 90.00°
Space group C2/m (No. 12)
Asymmetric unit:
1 Th 0.000 0.000 0.245
2 Th 0.167 0.500 0.084
3 Th 0.168 0.500 0.584
4 Si 0.167 0.000 0.833
5 Ge 0.000 0.500 0.500
6 S 0.000 0.500 0.000
7 S 0.166 0.000 0.333


[9]
For TbAl6Pt3, the GGA-PBE geometry in Alexandria gives the theoretical PXRD pattern in this record (Cu Kα X-rays).
Peak positions follow from Bragg's law for the DFT cell and can differ from measured ones.

Most intense lines, 2θ = 10–90°, in order of rising 2θ:
index	2θ/deg	I_rel
2 0 -1	22.7	56.7
0 1 1	23.1	66.2
1 1 -1	25.2	97.3
1 1 1	26.0	92.6
2 0 2	29.4	62.3
3 1 0	40.1	100.0
0 1 4	40.5	97.0
2 1 3	42.1	86.0
0 2 0	43.7	63.8
4 1 -5	64.2	48.4

a = 8.094 Å, b = 4.144 Å, c = 10.649 Å
α = 90.00°, β = 96.73°, γ = 90.00°
Space group P2_1/m (No. 11)
Asymmetric unit:
1 Tb 0.012 0.250 0.272
2 Al 0.065 0.250 0.939
3 Al 0.209 0.750 0.449
4 Al 0.267 0.750 0.194
5 Al 0.340 0.750 0.731
6 Al 0.416 0.250 0.060
7 Al 0.443 0.250 0.581
8 Pt 0.128 0.250 0.563
9 Pt 0.264 0.750 0.955
10 Pt 0.375 0.250 0.335


[10]
For La2Y6Ho3, the GGA-PBE geometry in Alexandria gives the theoretical PXRD pattern in this record (Cu Kα X-rays).
Peak positions follow from Bragg's law for the DFT cell and can differ from measured ones.

Most intense lines, 2θ = 10–90°, in order of rising 2θ:
index	2θ/deg	I_rel
0 0 4	30.7	34.3
1 3 1	30.8	100.0
2 0 2	35.7	67.1
1 3 5	51.3	23.4
0 6 0	51.5	23.4
2 0 6	61.0	13.7
2 6 -2	61.2	36.9
2 6 2	64.3	11.9
4 6 0	84.1	11.3
4 6 -4	86.7	7.0

a = 6.143 Å, b = 10.650 Å, c = 11.836 Å
α = 90.00°, β = 100.02°, γ = 90.00°
Space group C2/m (No. 12)
Asymmetric unit:
1 La 0.000 0.167 0.000
2 Y 0.248 0.166 0.744
3 Y 0.248 0.500 0.745
4 Ho 0.000 0.000 0.500
5 Ho 0.000 0.335 0.500